(1)
Computed powder X-ray diffraction pattern
Compound: Ho4ZrRh3
Radiation: Cu Kα, 1.54184 Å
Structure: the PBE geometry in Alexandria

The 10 most intense peaks (2θ = 10–80°), in order of falling intensity:
h k l  d_spacing  2θ (°)  Rel. int.
4 1 1  2.412  37.27  1000
3 2 1  2.692  33.29  792
4 2 0  2.433  36.95  443
2 2 2  2.354  38.24  378
2 0 2  2.611  34.35  355
0 0 2  2.976  30.03  352
4 1 3  1.586  58.17  275
5 5 2  1.367  68.67  212
3 2 3  1.658  55.42  186
6 4 2  1.346  69.90  142

Structural model:
```
data_Ho4ZrRh3
_chemical_formula_sum 'Ho16 Zr4 Rh12'
_symmetry_space_group_name_H-M 'I 4/m c m'
_symmetry_Int_Tables_number 140
_symmetry_space_group_name_Hall '-I 4 2c'
_cell_length_a 10.880
_cell_length_b 10.880
_cell_length_c 5.952
_cell_angle_alpha 90.00
_cell_angle_beta 90.00
_cell_angle_gamma 90.00
loop_
_atom_site_label
_atom_site_type_symbol
_atom_site_fract_x
_atom_site_fract_y
_atom_site_fract_z
Ho1 Ho 0.081 0.213 0.000
Zr1 Zr 0.000 0.500 0.250
Rh1 Rh 0.000 0.000 0.250
Rh2 Rh 0.155 0.345 0.500
```

***

(2)
Computed powder X-ray diffraction pattern
Compound: Ho3Sb2Ru
Radiation: Cu Kα, 1.54184 Å
Structure: the PBE geometry in Alexandria

The 10 most intense peaks (2θ = 10–80°), in order of falling intensity:
h k l  d_spacing  2θ (°)  Rel. int.
0 1 3  2.894  30.90  1000
4 1 1  2.429  37.01  762
0 2 0  2.189  41.23  740
2 1 2  3.022  29.56  713
3 1 2  2.637  34.00  687
2 1 4  2.241  40.24  528
4 0 2  2.675  33.50  496
1 1 4  2.365  38.04  449
1 0 4  2.814  31.80  402
3 0 2  3.303  27.00  316

Structural model:
```
data_Ho3Sb2Ru
_chemical_formula_sum 'Ho12 Sb8 Ru4'
_symmetry_space_group_name_H-M 'P n m a'
_symmetry_Int_Tables_number 62
_cell_length_a 12.069
_cell_length_b 4.379
_cell_length_c 11.571
_cell_angle_alpha 90.00
_cell_angle_beta 90.00
_cell_angle_gamma 90.00
loop_
_symmetry_equiv_pos_as_xyz
'x,y,z'
'-x,-y,-z'
'-x+1/2,-y,z+1/2'
'x+1/2,y,-z+1/2'
'x+1/2,-y+1/2,-z+1/2'
'-x+1/2,y+1/2,z+1/2'
'-x,y+1/2,-z'
'x,-y+1/2,z'
loop_
_atom_site_label
_atom_site_type_symbol
_atom_site_fract_x
_atom_site_fract_y
_atom_site_fract_z
Ho1 Ho 0.054 0.250 0.133
Ho2 Ho 0.121 0.750 0.547
Ho3 Ho 0.242 0.250 0.791
Sb1 Sb 0.004 0.250 0.691
Sb2 Sb 0.185 0.750 0.998
Ru1 Ru 0.125 0.250 0.368
```

***

(3)
Computed powder X-ray diffraction pattern
Compound: Ho2ScRu3
Radiation: Cu Kα, 1.54184 Å
Structure: the PBE geometry in Alexandria

The 10 most intense peaks (2θ = 10–80°), in order of falling intensity:
h k l  d_spacing  2θ (°)  Rel. int.
1 0 3  2.349  38.31  1000
1 1 0  2.357  38.18  513
2 1 3  1.359  69.10  344
2 0 0  1.667  55.11  175
1 1 6  1.355  69.36  162
1 0 2  2.768  32.34  88
0 0 6  1.656  55.49  80
1 0 1  3.160  28.24  71
0 0 2  4.968  17.86  42
1 1 5  1.519  60.99  29

Structural model:
```
data_Ho2ScRu3
_chemical_formula_sum 'Ho2 Sc1 Ru3'
_symmetry_space_group_name_H-M 'P 4/m m m'
_symmetry_Int_Tables_number 123
_symmetry_space_group_name_Hall '-P 4 2'
_cell_length_a 3.333
_cell_length_b 3.333
_cell_length_c 9.935
_cell_angle_alpha 90.00
_cell_angle_beta 90.00
_cell_angle_gamma 90.00
loop_
_atom_site_label
_atom_site_type_symbol
_atom_site_fract_x
_atom_site_fract_y
_atom_site_fract_z
Ho1 Ho 0.000 0.000 0.171
Sc1 Sc 0.000 0.000 0.500
Ru1 Ru 0.500 0.500 0.000
Ru2 Ru 0.500 0.500 0.344
```

***

(4)
Computed powder X-ray diffraction pattern
Compound: HoSi3Ru3
Radiation: Cu Kα, 1.54184 Å
Structure: the PBE geometry in Alexandria

The 10 most intense peaks (2θ = 10–80°), in order of falling intensity:
h k l  d_spacing  2θ (°)  Rel. int.
2 1 1  2.637  33.99  1000
3 2 1  1.727  53.04  558
2 0 0  3.230  27.62  434
2 1 0  2.889  30.95  329
4 0 0  1.615  57.02  199
4 2 0  1.445  64.51  154
3 3 2  1.377  68.07  131
3 2 0  1.792  50.97  81
2 2 2  1.865  48.84  71
4 2 1  1.410  66.30  71

Structural model:
```
data_HoSi3Ru3
_chemical_formula_sum 'Ho2 Si6 Ru6'
_symmetry_space_group_name_H-M 'P m -3 n'
_symmetry_Int_Tables_number 223
_symmetry_space_group_name_Hall '-P 4n 2 3'
_cell_length_a 6.460
_cell_length_b 6.460
_cell_length_c 6.460
_cell_angle_alpha 90.00
_cell_angle_beta 90.00
_cell_angle_gamma 90.00
loop_
_atom_site_label
_atom_site_type_symbol
_atom_site_fract_x
_atom_site_fract_y
_atom_site_fract_z
Ho1 Ho 0.000 0.000 0.000
Si1 Si 0.000 0.250 0.500
Ru1 Ru 0.000 0.500 0.250
```

***

(5)
Computed powder X-ray diffraction pattern
Compound: Ho3Si12Ru4
Radiation: Cu Kα, 1.54184 Å
Structure: the PBE geometry in Alexandria

The 10 most intense peaks (2θ = 10–80°), in order of falling intensity:
h k l  d_spacing  2θ (°)  Rel. int.
6 2 0  2.457  36.58  1000
4 2 2  2.440  36.84  941
1 1 3  2.544  35.28  813
6 4 2  1.565  59.02  586
4 0 0  4.628  19.18  580
2 2 0  3.719  23.93  571
0 2 2  2.872  31.15  515
7 1 3  1.842  49.47  372
0 4 0  2.031  44.63  339
2 0 4  1.983  45.75  339

Structural model:
```
data_Ho3Si12Ru4
_chemical_formula_sum 'Ho12 Si48 Ru16'
_symmetry_space_group_name_H-M 'C m c e'
_symmetry_Int_Tables_number 64
_symmetry_space_group_name_Hall '-C 2ac 2'
_cell_length_a 18.511
_cell_length_b 8.119
_cell_length_c 8.125
_cell_angle_alpha 90.00
_cell_angle_beta 90.00
_cell_angle_gamma 90.00
loop_
_atom_site_label
_atom_site_type_symbol
_atom_site_fract_x
_atom_site_fract_y
_atom_site_fract_z
Ho1 Ho 0.000 0.000 0.000
Ho2 Ho 0.250 0.247 0.250
Si1 Si 0.000 0.167 0.333
Si2 Si 0.117 0.004 0.728
Si3 Si 0.117 0.228 0.506
Si4 Si 0.205 0.000 0.500
Ru1 Ru 0.000 0.127 0.627
Ru2 Ru 0.169 0.000 0.000
```

***

(6)
Computed powder X-ray diffraction pattern
Compound: Ho4Si6Ru7
Radiation: Cu Kα, 1.54184 Å
Structure: the PBE geometry in Alexandria

The 10 most intense peaks (2θ = 10–80°), in order of falling intensity:
h k l  d_spacing  2θ (°)  Rel. int.
2 2 2  2.377  37.84  1000
4 0 0  2.059  43.98  655
2 2 0  2.912  30.71  457
4 4 0  1.456  63.95  387
6 2 2  1.242  76.77  325
3 2 1  2.201  41.00  272
2 1 1  3.362  26.51  237
4 2 2  1.681  54.59  142
2 0 0  4.118  21.58  123
6 2 0  1.302  72.60  107

Structural model:
```
data_Ho4Si6Ru7
_chemical_formula_sum 'Ho8 Si12 Ru14'
_symmetry_space_group_name_H-M 'I m -3 m'
_symmetry_Int_Tables_number 229
_symmetry_space_group_name_Hall '-I 4 2 3'
_cell_length_a 8.236
_cell_length_b 8.236
_cell_length_c 8.236
_cell_angle_alpha 90.00
_cell_angle_beta 90.00
_cell_angle_gamma 90.00
loop_
_atom_site_label
_atom_site_type_symbol
_atom_site_fract_x
_atom_site_fract_y
_atom_site_fract_z
Ho1 Ho 0.250 0.250 0.250
Si1 Si 0.000 0.000 0.321
Ru1 Ru 0.000 0.000 0.000
Ru2 Ru 0.000 0.250 0.500
```

***

(7)
Computed powder X-ray diffraction pattern
Compound: Ho2Si3Ru5
Radiation: Cu Kα, 1.54184 Å
Structure: the PBE geometry in Alexandria

The 10 most intense peaks (2θ = 10–80°), in order of falling intensity:
h k l  d_spacing  2θ (°)  Rel. int.
1 3 2  2.397  37.52  1000
1 7 1  2.448  36.70  619
2 0 0  2.060  43.95  389
1 9 0  2.259  39.91  348
0 6 2  2.495  36.00  315
0 10 1  2.269  39.72  276
1 13 3  1.325  71.16  253
0 4 3  1.993  45.52  200
2 10 1  1.525  60.72  158
2 4 3  1.432  65.13  137

Structural model:
```
data_Ho2Si3Ru5
_chemical_formula_sum 'Ho8 Si12 Ru20'
_symmetry_space_group_name_H-M 'C m c 21'
_symmetry_Int_Tables_number 36
_cell_length_a 4.120
_cell_length_b 24.307
_cell_length_c 6.328
_cell_angle_alpha 90.00
_cell_angle_beta 90.00
_cell_angle_gamma 90.00
loop_
_symmetry_equiv_pos_as_xyz
'x,y,z'
'-x,-y,z+1/2'
'-x,y,z'
'x,-y,z+1/2'
'x+1/2,y+1/2,z'
'-x+1/2,-y+1/2,z+1/2'
'-x+1/2,y+1/2,z'
'x+1/2,-y+1/2,z+1/2'
loop_
_atom_site_label
_atom_site_type_symbol
_atom_site_fract_x
_atom_site_fract_y
_atom_site_fract_z
Ho1 Ho 0.000 0.016 0.000
Ho2 Ho 0.000 0.324 0.985
Si1 Si 0.000 0.112 0.246
Si2 Si 0.000 0.273 0.478
Si3 Si 0.000 0.446 0.215
Ru1 Ru 0.000 0.101 0.647
Ru2 Ru 0.000 0.207 0.769
Ru3 Ru 0.000 0.208 0.185
Ru4 Ru 0.000 0.372 0.489
Ru5 Ru 0.000 0.443 0.831
```

***

(8)
Computed powder X-ray diffraction pattern
Compound: Ho3Si3Ru2
Radiation: Cu Kα, 1.54184 Å
Structure: the PBE geometry in Alexandria

The 10 most intense peaks (2θ = 10–80°), in order of falling intensity:
h k l  d_spacing  2θ (°)  Rel. int.
0 6 0  2.327  38.70  1000
1 1 2  2.639  33.98  745
2 4 0  2.610  34.36  631
1 3 1  3.280  27.19  467
2 4 1  2.374  37.89  423
0 5 1  2.508  35.80  354
3 0 1  2.385  37.72  337
2 1 1  3.157  28.27  332
1 4 1  2.785  32.14  283
3 1 1  2.350  38.31  279

Structural model:
```
data_Ho3Si3Ru2
_chemical_formula_sum 'Ho12 Si12 Ru8'
_symmetry_space_group_name_H-M 'P n m a'
_symmetry_Int_Tables_number 62
_cell_length_a 7.867
_cell_length_b 13.956
_cell_length_c 5.718
_cell_angle_alpha 90.00
_cell_angle_beta 90.00
_cell_angle_gamma 90.00
loop_
_symmetry_equiv_pos_as_xyz
'x,y,z'
'-x,-y,-z'
'-x+1/2,-y,z+1/2'
'x+1/2,y,-z+1/2'
'x+1/2,-y+1/2,-z+1/2'
'-x+1/2,y+1/2,z+1/2'
'-x,y+1/2,-z'
'x,-y+1/2,z'
loop_
_atom_site_label
_atom_site_type_symbol
_atom_site_fract_x
_atom_site_fract_y
_atom_site_fract_z
Ho1 Ho 0.046 0.113 0.121
Ho2 Ho 0.186 0.250 0.630
Si1 Si 0.158 0.750 0.596
Si2 Si 0.192 0.041 0.637
Ru1 Ru 0.094 0.588 0.395
```

***

(9)
Computed powder X-ray diffraction pattern
Compound: HoSi7Ru3
Radiation: Cu Kα, 1.54184 Å
Structure: the PBE geometry in Alexandria

The 10 most intense peaks (2θ = 10–80°), in order of falling intensity:
h k l  d_spacing  2θ (°)  Rel. int.
1 1 3  3.306  26.97  1000
1 1 6  2.505  35.85  716
3 0 0  2.201  41.01  640
2 2 3  1.833  49.75  495
1 1 9  1.915  47.47  450
2 1 4  2.231  40.42  426
0 1 2  5.504  16.10  377
3 0 12  1.326  71.10  315
0 1 8  2.332  38.62  266
1 4 6  1.322  71.36  252

Structural model:
```
data_HoSi7Ru3
_chemical_formula_sum 'Ho6 Si42 Ru18'
_symmetry_space_group_name_H-M 'R -3 c'
_symmetry_Int_Tables_number 167
_symmetry_space_group_name_Hall '-R 3 2"c'
_cell_length_a 7.6233
_cell_length_b 7.6233
_cell_length_c 19.9375
_cell_angle_alpha 90.00
_cell_angle_beta 90.00
_cell_angle_gamma 120.00
loop_
_atom_site_label
_atom_site_type_symbol
_atom_site_fract_x
_atom_site_fract_y
_atom_site_fract_z
Ho1 Ho 0.0000 0.0000 0.0000
Si1 Si 0.0000 0.0000 0.2500
Si2 Si 0.0083 0.2010 0.1382
Ru1 Ru 0.0000 0.3280 0.2500
```

***

(10)
Computed powder X-ray diffraction pattern
Compound: SmHo3Ru4
Radiation: Cu Kα, 1.54184 Å
Structure: the PBE geometry in Alexandria

The 7 most intense peaks (2θ = 10–80°), in order of falling intensity:
h k l  d_spacing  2θ (°)  Rel. int.
1 1 0  2.407  37.36  1000
3 0 0  1.390  67.39  350
2 0 8  1.702  53.87  173
2 2 0  1.204  79.67  109
1 0 4  3.404  26.18  56
2 1 4  1.522  60.85  24
0 2 4  1.965  46.19  17

Structural model:
```
data_SmHo3Ru4
_chemical_formula_sum 'Sm3 Ho9 Ru12'
_symmetry_space_group_name_H-M 'R -3 m'
_symmetry_Int_Tables_number 166
_symmetry_space_group_name_Hall '-R 3 2"'
_cell_length_a 4.8136
_cell_length_b 4.8136
_cell_length_c 23.5888
_cell_angle_alpha 90.00
_cell_angle_beta 90.00
_cell_angle_gamma 120.00
loop_
_atom_site_label
_atom_site_type_symbol
_atom_site_fract_x
_atom_site_fract_y
_atom_site_fract_z
Sm1 Sm 0.0000 0.0000 0.0000
Ho1 Ho 0.0000 0.0000 0.2487
Ho2 Ho 0.0000 0.0000 0.5000
Ru1 Ru 0.0000 0.0000 0.1258
Ru2 Ru 0.0000 0.0000 0.3758
```

***

(11)
Computed powder X-ray diffraction pattern
Compound: SmHo3Ru8
Radiation: Cu Kα, 1.54184 Å
Structure: the PBE geometry in Alexandria

The 10 most intense peaks (2θ = 10–80°), in order of falling intensity:
h k l  d_spacing  2θ (°)  Rel. int.
2 0 2  2.275  39.61  1000
1 0 10  2.284  39.45  340
2 1 10  1.452  64.11  320
0 1 8  2.677  33.48  288
1 1 0  2.665  33.64  285
0 2 4  2.177  41.47  267
0 2 16  1.338  70.34  172
2 2 0  1.332  70.71  170
3 0 0  1.540  60.08  162
0 0 12  2.190  41.21  89

Structural model:
```
data_SmHo3Ru8
_chemical_formula_sum 'Sm3 Ho9 Ru24'
_symmetry_space_group_name_H-M 'R 3 m'
_symmetry_Int_Tables_number 160
_symmetry_space_group_name_Hall 'R 3 -2"'
_cell_length_a 5.3291
_cell_length_b 5.3291
_cell_length_c 26.2855
_cell_angle_alpha 90.00
_cell_angle_beta 90.00
_cell_angle_gamma 120.00
loop_
_atom_site_label
_atom_site_type_symbol
_atom_site_fract_x
_atom_site_fract_y
_atom_site_fract_z
Sm1 Sm 0.0000 0.0000 0.0000
Ho1 Ho 0.0000 0.0000 0.1252
Ho2 Ho 0.0000 0.0000 0.5004
Ho3 Ho 0.0000 0.0000 0.6249
Ru1 Ru 0.0000 0.0000 0.3126
Ru2 Ru 0.0000 0.0000 0.8128
Ru3 Ru 0.0015 0.5007 0.0636
Ru4 Ru 0.1678 0.3356 0.8951
```

***

> Which formula does entry 4 have?

HoSi3Ru3

***

> Number 4 is which compound?

HoSi3Ru3